No. 1
Starting from a PBE-relaxed structure, the XRD peak list of ZrV6S8 was computed for λ = 1.5418 Å (Cu Kα).
No peak broadening, texture or thermal motion is included.

Principal peaks in the range 2θ = 10–80°, most intense first:
| two_theta | intensity | (hkl) |
| --- | --- | --- |
| 48.9 | 100 | 4 -2 3 |
| 44.5 | 93 | 4 -3 1 |
| 32.7 | 81 | 3 -1 1 |
| 45.9 | 79 | 2 1 4 |
| 35.7 | 75 | 3 -2 2 |
| 25.1 | 60 | 0 2 1 |

Cell and atoms:
a b c (Å): 8.6309 8.6309 11.0924
angles (deg): 90.00 90.00 120.00
Space group R-3 (No. 148, hexagonal axes)
One atom of each set of equivalent atoms:
Zr1 0.0000 0.0000 0.0000
V1 0.0208 0.1858 0.3911
S1 0.0000 0.0000 0.2333
S2 0.0002 0.3728 0.2419

***

No. 2
Starting from a PBE-relaxed structure, the XRD peak list of Pm5Sm8Cd was computed for λ = 1.5418 Å (Cu Kα).
No peak broadening, texture or thermal motion is included.

Principal peaks in the range 2θ = 10–80°, most intense first:
| two_theta | intensity | (hkl) |
| --- | --- | --- |
| 28.8 | 100 | 1 3 0 |
| 33.7 | 64 | 2 1 3 |
| 28.2 | 44 | 1 0 3 |
| 34.2 | 34 | 2 3 1 |
| 34.1 | 32 | 1 3 2 |
| 54.3 | 18 | 5 0 3 |

Cell and atoms:
a b c (Å): 9.7804 9.7804 10.0339
angles (deg): 90.00 90.00 90.00
Space group I-4 (No. 82)
One atom of each set of equivalent atoms:
Pm1 0.0000 0.0000 0.0000
Pm2 0.0985 0.7919 0.4185
Sm1 0.0668 0.6699 0.0873
Sm2 0.0856 0.8088 0.7535
Cd1 0.0000 0.5000 0.7500